No. 1
Li2AlFeO4: theoretical powder XRD pattern (Cu Ka), based on a PBE+U-relaxed structure.
No peak broadening, texture or thermal motion is included.

Main lines, by angle (15 to 90 degrees two-theta):
- d = 4.177 Å, 21.3 deg, intensity 100
- d = 4.002 Å, 22.2 deg, intensity 100
- d = 3.231 Å, 27.6 deg, intensity 31
- d = 2.781 Å, 32.2 deg, intensity 64
- d = 2.739 Å, 32.7 deg, intensity 40
- d = 2.646 Å, 33.9 deg, intensity 30
- d = 2.550 Å, 35.2 deg, intensity 58
- d = 1.614 Å, 57.1 deg, intensity 22
- d = 1.589 Å, 58.0 deg, intensity 39
- d = 1.490 Å, 62.3 deg, intensity 23

Structural model:
a b c (Å): 10.958 5.101 6.454
angles (deg): 90.00 90.00 90.00
Space group Pna2_1 (No. 33)
Inequivalent atoms, fractional coordinates:
Li (0.087, 0.222, 0.000) (multiplicity 4)
Li (0.167, 0.693, 0.248) (multiplicity 4)
Al (0.166, 0.685, 0.748) (multiplicity 4)
Fe (0.086, 0.187, 0.495) (multiplicity 4)
O (0.085, 0.775, 0.977) (multiplicity 4)
O (0.095, 0.812, 0.520) (multiplicity 4)
O (0.160, 0.334, 0.735) (multiplicity 4)
O (0.179, 0.293, 0.259) (multiplicity 4)

***

No. 2
Li2AlFeO4: theoretical powder XRD pattern (Cu Ka), based on a PBE+U-relaxed structure.
No peak broadening, texture or thermal motion is included.

Main lines, by angle (15 to 90 degrees two-theta):
- d = 5.565 Å, 15.9 deg, intensity 67
- d = 3.748 Å, 23.7 deg, intensity 100
- d = 3.127 Å, 28.5 deg, intensity 44
- d = 2.994 Å, 29.8 deg, intensity 35
- d = 2.783 Å, 32.2 deg, intensity 33
- d = 2.726 Å, 32.9 deg, intensity 71
- d = 2.537 Å, 35.4 deg, intensity 59
- d = 2.163 Å, 41.8 deg, intensity 30
- d = 1.595 Å, 57.8 deg, intensity 41
- d = 1.380 Å, 67.9 deg, intensity 27

Structural model:
a b c (Å): 11.130 6.255 5.071
angles (deg): 90.00 90.00 90.00
Space group Pnma (No. 62)
Inequivalent atoms, fractional coordinates:
Li (0.086, 0.000, 0.180) (multiplicity 8)
Al (0.165, 0.250, 0.672) (multiplicity 4)
Fe (0.167, 0.750, 0.674) (multiplicity 4)
O (0.091, 0.012, 0.778) (multiplicity 8)
O (0.174, 0.250, 0.319) (multiplicity 4)
O (0.184, 0.750, 0.298) (multiplicity 4)

***

No. 3
LiAlFeO4: theoretical powder XRD pattern (Cu Ka), based on a PBE+U-relaxed structure.
No peak broadening, texture or thermal motion is included.

Main lines, by angle (15 to 90 degrees two-theta):
- d = 5.705 Å, 15.5 deg, intensity 77
- d = 3.640 Å, 24.5 deg, intensity 93
- d = 3.394 Å, 26.3 deg, intensity 60
- d = 2.524 Å, 35.6 deg, intensity 67
- d = 2.442 Å, 36.8 deg, intensity 100
- d = 2.111 Å, 42.8 deg, intensity 32
- d = 2.017 Å, 44.9 deg, intensity 54
- d = 1.555 Å, 59.4 deg, intensity 26
- d = 1.458 Å, 63.8 deg, intensity 74
- d = 1.426 Å, 65.4 deg, intensity 33

Structural model:
a b c (Å): 5.705 5.705 8.444
angles (deg): 90.00 90.00 90.00
Space group P4_322 (No. 95)
Inequivalent atoms, fractional coordinates:
Li (0.000, 0.233, 0.000) (multiplicity 4)
Al (0.263, 0.263, 0.625) (multiplicity 4)
Fe (0.232, 0.500, 0.250) (multiplicity 4)
O (0.002, 0.265, 0.261) (multiplicity 8)
O (0.264, 0.486, 0.006) (multiplicity 8)

***

No. 4
Li2AlFeO4: theoretical powder XRD pattern (Cu Ka), based on a PBE+U-relaxed structure.
No peak broadening, texture or thermal motion is included.

Main lines, by angle (15 to 90 degrees two-theta):
- d = 4.106 Å, 21.6 deg, intensity 100
- d = 3.766 Å, 23.6 deg, intensity 17
- d = 3.270 Å, 27.3 deg, intensity 18
- d = 2.747 Å, 32.6 deg, intensity 50
- d = 2.676 Å, 33.5 deg, intensity 52
- d = 2.469 Å, 36.4 deg, intensity 13
- d = 2.234 Å, 40.4 deg, intensity 13
- d = 1.922 Å, 47.3 deg, intensity 16
- d = 1.600 Å, 57.6 deg, intensity 10
- d = 1.558 Å, 59.3 deg, intensity 35

Structural model:
a b c (Å): 7.531 7.608 6.400
angles (deg): 90.00 90.00 90.00
Space group C222_1 (No. 20)
Inequivalent atoms, fractional coordinates:
Li (0.000, 0.185, 0.250) (multiplicity 4)
Li (0.184, 0.500, 0.500) (multiplicity 4)
Al (0.174, 0.500, 0.000) (multiplicity 4)
Fe (0.000, 0.175, 0.750) (multiplicity 4)
O (0.023, 0.319, 0.989) (multiplicity 8)
O (0.191, 0.010, 0.727) (multiplicity 8)

***

No. 5
Li2AlFeO4: theoretical powder XRD pattern (Cu Ka), based on a PBE+U-relaxed structure.
No peak broadening, texture or thermal motion is included.

Main lines, by angle (15 to 90 degrees two-theta):
- d = 5.546 Å, 16.0 deg, intensity 55
- d = 4.164 Å, 21.3 deg, intensity 23
- d = 4.022 Å, 22.1 deg, intensity 39
- d = 3.779 Å, 23.5 deg, intensity 100
- d = 3.168 Å, 28.2 deg, intensity 45
- d = 2.773 Å, 32.3 deg, intensity 68
- d = 2.729 Å, 32.8 deg, intensity 35
- d = 2.579 Å, 34.8 deg, intensity 56
- d = 1.584 Å, 58.2 deg, intensity 39
- d = 1.350 Å, 69.6 deg, intensity 24

Structural model:
a b c (Å): 5.158 10.918 8.243
angles (deg): 90.00 128.63 90.00
Space group P2_1/c (No. 14)
Inequivalent atoms, fractional coordinates:
Li (0.056, 0.079, 0.260) (multiplicity 4)
Li (0.304, 0.665, 0.993) (multiplicity 4)
Al (0.440, 0.087, 0.755) (multiplicity 4)
Fe (0.186, 0.166, 0.003) (multiplicity 4)
O (0.105, 0.091, 0.766) (multiplicity 4)
O (0.210, 0.663, 0.521) (multiplicity 4)
O (0.321, 0.168, 0.530) (multiplicity 4)
O (0.459, 0.068, 0.249) (multiplicity 4)

***

No. 6
LiAlFeO4: theoretical powder XRD pattern (Cu Ka), based on a PBE+U-relaxed structure.
No peak broadening, texture or thermal motion is included.

Main lines, by angle (15 to 90 degrees two-theta):
- d = 4.442 Å, 20.0 deg, intensity 100
- d = 3.008 Å, 29.7 deg, intensity 15
- d = 2.671 Å, 33.5 deg, intensity 15
- d = 2.433 Å, 36.9 deg, intensity 12
- d = 2.245 Å, 40.2 deg, intensity 13
- d = 2.195 Å, 41.1 deg, intensity 11
- d = 1.966 Å, 46.2 deg, intensity 10
- d = 1.723 Å, 53.2 deg, intensity 12
- d = 1.552 Å, 59.6 deg, intensity 10
- d = 1.450 Å, 64.2 deg, intensity 9

Structural model:
a b c (Å): 2.902 10.063 9.462
angles (deg): 90.00 91.79 90.00
Space group P2_1 (No. 4)
Inequivalent atoms, fractional coordinates:
Li (0.206, 0.000, 0.168) (multiplicity 2)
Li (0.208, 0.755, 0.668) (multiplicity 2)
Al (0.261, 0.255, 0.749) (multiplicity 2)
Al (0.261, 0.500, 0.249) (multiplicity 2)
Fe (0.253, 0.776, 0.975) (multiplicity 2)
Fe (0.254, 0.979, 0.474) (multiplicity 2)
O (0.216, 0.569, 0.620) (multiplicity 2)
O (0.218, 0.186, 0.119) (multiplicity 2)
O (0.238, 0.091, 0.648) (multiplicity 2)
O (0.238, 0.663, 0.148) (multiplicity 2)
O (0.243, 0.842, 0.332) (multiplicity 2)
O (0.243, 0.912, 0.832) (multiplicity 2)
O (0.289, 0.384, 0.412) (multiplicity 2)
O (0.290, 0.370, 0.912) (multiplicity 2)